The following is a theoretical powder X-ray diffraction pattern of TbCuAg. It was derived from a structure optimized by DFT (GGA-PBE), using Cu Kα (λ = 1.5418 Å).

Crystal structure
a b c (Å): 3.6195 3.6195 9.1705
angles (deg): 90.00 90.00 90.00
Atoms (fractional coordinates):
1 Tb 0.0000 0.0000 0.0000
2 Tb 0.5000 0.5000 0.5000
3 Cu 0.0000 0.0000 0.3329
4 Cu 0.5000 0.5000 0.8329
5 Ag 0.0000 0.0000 0.6807
6 Ag 0.5000 0.5000 0.1807

Most intense lines, 10 to 90 degrees two-theta, low angle first:
2θ/deg  I/Imax
26.5  17.5
35.1  66.1
38.5  100.0
50.4  23.0
65.2  40.7
72.0  14.4
74.1  7.1
82.6  9.9
84.7  10.0
86.8  9.4

***

The following is a theoretical powder X-ray diffraction pattern of CuAgTe. It was derived from a structure optimized by DFT (GGA-PBE), using Cu Kα (λ = 1.5418 Å).

Crystal structure
a b c (Å): 8.1837 5.0472 7.6364
angles (deg): 90.00 102.53 90.00
Atoms (fractional coordinates):
1 Cu 0.2493 0.0000 0.4994
2 Cu 0.2507 0.5000 0.5006
3 Cu 0.7493 0.5000 0.4994
4 Cu 0.7507 0.0000 0.5006
5 Ag 0.0528 0.2515 0.7024
6 Ag 0.4472 0.7515 0.2976
7 Ag 0.5528 0.7515 0.7024
8 Ag 0.9472 0.2515 0.2976
9 Te 0.2310 0.7513 0.7833
10 Te 0.2690 0.2513 0.2167
11 Te 0.7310 0.2513 0.7833
12 Te 0.7690 0.7513 0.2167

Most intense lines, 10 to 90 degrees two-theta, low angle first:
2θ/deg  I/Imax
11.9  94.7
20.8  76.7
23.9  61.2
25.2  81.5
33.7  56.5
37.8  88.3
38.3  92.6
42.4  55.1
42.7  63.5
43.3  100.0

***

The following is a theoretical powder X-ray diffraction pattern of CuAg2Te5. It was derived from a structure optimized by DFT (GGA-PBE), using Cu Kα (λ = 1.5418 Å).

Crystal structure
a b c (Å): 10.2444 8.2501 6.2083
angles (deg): 90.00 126.38 90.00
Atoms (fractional coordinates):
1 Cu 0.0000 0.0000 0.0000
2 Cu 0.5000 0.5000 0.0000
3 Ag 0.0002 0.5000 0.0487
4 Ag 0.9999 0.5000 0.5484
5 Ag 0.5002 0.0000 0.0487
6 Ag 0.4999 0.0000 0.5484
7 Te 0.0001 0.0000 0.5705
8 Te 0.2330 0.2329 0.2829
9 Te 0.2330 0.7671 0.2829
10 Te 0.2672 0.2671 0.8171
11 Te 0.2672 0.7329 0.8171
12 Te 0.5001 0.5000 0.5705
13 Te 0.7330 0.2671 0.2829
14 Te 0.7330 0.7329 0.2829
15 Te 0.7672 0.2329 0.8171
16 Te 0.7672 0.7671 0.8171

Most intense lines, 10 to 90 degrees two-theta, low angle first:
2θ/deg  I/Imax
28.8  59.8
30.7  100.0
42.3  40.5
42.8  38.1
43.9  34.9
52.9  9.5
53.3  18.6
53.8  9.1
63.8  10.2
72.5  13.0

***

The following is a theoretical powder X-ray diffraction pattern of CuAg4Te4. It was derived from a structure optimized by DFT (GGA-PBE), using Cu Kα (λ = 1.5418 Å).

Crystal structure
a b c (Å): 7.7817 7.7817 7.7817
angles (deg): 131.17 131.17 71.54
Atoms (fractional coordinates):
1 Cu 0.0000 0.0000 0.0000
2 Ag 0.0000 0.5000 0.5000
3 Ag 0.2450 0.2450 0.0000
4 Ag 0.5000 0.0000 0.5000
5 Ag 0.7550 0.7550 0.0000
6 Te 0.1267 0.6265 0.0000
7 Te 0.3735 0.3735 0.5001
8 Te 0.6265 0.1267 0.0000
9 Te 0.8733 0.8733 0.4999

Most intense lines, 10 to 90 degrees two-theta, low angle first:
2θ/deg  I/Imax
24.1  100.0
39.6  35.3
40.0  68.3
46.9  32.6
47.6  15.6
57.3  11.6
63.6  12.8
72.2  22.7
73.0  10.9
77.1  7.3

***

The following is a theoretical powder X-ray diffraction pattern of Cu2Ag2Te7. It was derived from a structure optimized by DFT (GGA-PBE), using Cu Kα (λ = 1.5418 Å).

Crystal structure
a b c (Å): 6.3274 6.6923 8.1535
angles (deg): 74.91 69.95 78.69
Atoms (fractional coordinates):
1 Cu 0.0820 0.4585 0.3400
2 Cu 0.9180 0.5415 0.6600
3 Ag 0.3995 0.9050 0.7036
4 Ag 0.6005 0.0950 0.2964
5 Te 0.0000 0.5000 0.0000
6 Te 0.0551 0.0848 0.3083
7 Te 0.3413 0.3472 0.5547
8 Te 0.3634 0.6792 0.0621
9 Te 0.6366 0.3208 0.9379
10 Te 0.6587 0.6528 0.4453
11 Te 0.9449 0.9152 0.6917

Most intense lines, 10 to 90 degrees two-theta, low angle first:
2θ/deg  I/Imax
16.2  33.5
23.9  29.1
25.5  66.3
27.9  48.5
29.3  89.8
30.1  100.0
36.0  42.6
44.1  30.4
44.6  27.2
45.4  28.0

***

The following is a theoretical powder X-ray diffraction pattern of UCuAg2Te4. It was derived from a structure optimized by DFT (GGA-PBE), using Cu Kα (λ = 1.5418 Å).

Crystal structure
a b c (Å): 6.9776 6.9776 15.3398
angles (deg): 90.00 90.00 145.98
Atoms (fractional coordinates):
1 U 0.1390 0.8610 0.7500
2 U 0.8610 0.1390 0.2500
3 Cu 0.1659 0.8341 0.2500
4 Cu 0.8341 0.1659 0.7500
5 Ag 0.3732 0.6268 0.5776
6 Ag 0.3732 0.6268 0.9224
7 Ag 0.6268 0.3732 0.0776
8 Ag 0.6268 0.3732 0.4224
9 Te 0.0000 0.0000 0.0000
10 Te 0.0000 0.0000 0.5000
11 Te 0.2886 0.7114 0.1130
12 Te 0.2886 0.7114 0.3870
13 Te 0.4617 0.5383 0.7500
14 Te 0.5383 0.4617 0.2500
15 Te 0.7114 0.2886 0.6130
16 Te 0.7114 0.2886 0.8870

Most intense lines, 10 to 90 degrees two-theta, low angle first:
2θ/deg  I/Imax
26.8  32.3
30.3  47.6
32.0  100.0
32.7  23.3
35.1  21.0
37.3  21.6
38.0  35.7
44.4  59.8
64.6  20.1
73.9  24.5

***

The following is a theoretical powder X-ray diffraction pattern of Th2Cu3Ag. It was derived from a structure optimized by DFT (GGA-PBE), using Cu Kα (λ = 1.5418 Å).

Crystal structure
a b c (Å): 9.0917 8.5884 5.7013
angles (deg): 76.05 66.46 37.49
Atoms (fractional coordinates):
1 Th 0.2464 0.7536 0.7536
2 Th 0.2500 0.2500 0.2500
3 Th 0.7500 0.7500 0.7500
4 Th 0.7536 0.2464 0.2464
5 Cu 0.1623 0.6746 0.3254
6 Cu 0.1626 0.1626 0.8374
7 Cu 0.3254 0.8377 0.1623
8 Cu 0.6746 0.1623 0.8377
9 Cu 0.8374 0.8374 0.1626
10 Cu 0.8377 0.3254 0.6746
11 Ag 0.3337 0.3337 0.6663
12 Ag 0.6663 0.6663 0.3337

Most intense lines, 10 to 90 degrees two-theta, low angle first:
2θ/deg  I/Imax
22.6  31.7
34.6  100.0
39.6  55.2
53.3  7.8
53.7  28.8
68.5  21.5
68.7  27.3
71.9  9.3
85.4  5.9
89.0  7.1

***

The following is a theoretical powder X-ray diffraction pattern of Th2Cu15Ag2. It was derived from a structure optimized by DFT (GGA-PBE), using Cu Kα (λ = 1.5418 Å).

Crystal structure
a b c (Å): 6.6064 6.6064 6.6064
angles (deg): 82.93 82.93 82.93
Atoms (fractional coordinates):
1 Th 0.1512 0.1512 0.1512
2 Th 0.8488 0.8488 0.8488
3 Cu 0.0000 0.5000 0.5000
4 Cu 0.1512 0.1512 0.6585
5 Cu 0.1512 0.6585 0.1512
6 Cu 0.2002 0.5000 0.7998
7 Cu 0.2002 0.7998 0.5000
8 Cu 0.3415 0.8488 0.8488
9 Cu 0.5000 0.0000 0.5000
10 Cu 0.5000 0.2002 0.7998
11 Cu 0.5000 0.5000 0.0000
12 Cu 0.5000 0.7998 0.2002
13 Cu 0.6585 0.1512 0.1512
14 Cu 0.7998 0.2002 0.5000
15 Cu 0.7998 0.5000 0.2002
16 Cu 0.8488 0.3415 0.8488
17 Cu 0.8488 0.8488 0.3415
18 Ag 0.3960 0.3960 0.3960
19 Ag 0.6040 0.6040 0.6040

Most intense lines, 10 to 90 degrees two-theta, low angle first:
2θ/deg  I/Imax
20.3  25.6
29.3  37.2
30.4  29.1
35.5  63.9
36.8  46.4
41.3  76.4
41.6  100.0
42.4  64.3
60.7  29.8
68.0  22.4

***

The following is a theoretical powder X-ray diffraction pattern of Th3Zn6CuAg2. It was derived from a structure optimized by DFT (GGA-PBE), using Cu Kα (λ = 1.5418 Å).

Crystal structure
a b c (Å): 5.6981 5.6981 8.9674
angles (deg): 90.00 90.00 120.00
Atoms (fractional coordinates):
1 Th 0.0000 0.0000 0.0000
2 Th 0.3333 0.6667 0.5940
3 Th 0.6667 0.3333 0.4060
4 Zn 0.1740 0.3481 0.2777
5 Zn 0.1740 0.8260 0.2777
6 Zn 0.3481 0.1740 0.7223
7 Zn 0.6519 0.8260 0.2777
8 Zn 0.8260 0.1740 0.7223
9 Zn 0.8260 0.6519 0.7223
10 Cu 0.0000 0.0000 0.5000
11 Ag 0.3333 0.6667 0.0042
12 Ag 0.6667 0.3333 0.9958

Most intense lines, 10 to 90 degrees two-theta, low angle first:
2θ/deg  I/Imax
20.5  33.8
26.9  36.8
31.4  80.5
35.1  41.3
37.4  100.0
37.8  57.7
41.8  36.4
44.4  26.7
61.1  30.7
65.5  26.9

***

The following is a theoretical powder X-ray diffraction pattern of Tl4CuAg. It was derived from a structure optimized by DFT (GGA-PBE), using Cu Kα (λ = 1.5418 Å).

Crystal structure
a b c (Å): 6.2929 6.2929 6.2929
angles (deg): 60.00 60.00 60.00
Atoms (fractional coordinates):
1 Tl 0.1251 0.1251 0.1251
2 Tl 0.1251 0.1251 0.6248
3 Tl 0.1251 0.6248 0.1251
4 Tl 0.6248 0.1251 0.1251
5 Cu 0.5000 0.5000 0.5000
6 Ag 0.7500 0.7500 0.7500

Most intense lines, 10 to 90 degrees two-theta, low angle first:
2θ/deg  I/Imax
17.3  42.8
33.4  100.0
34.9  67.5
40.5  20.2
44.4  12.4
53.5  35.1
58.7  34.4
69.2  12.1
70.1  27.5
83.4  22.2

***

The following is a theoretical powder X-ray diffraction pattern of Tm3Cu3Ag2. It was derived from a structure optimized by DFT (GGA-PBE), using Cu Kα (λ = 1.5418 Å).

Crystal structure
a b c (Å): 6.9092 6.9092 3.9287
angles (deg): 90.00 90.00 120.00
Atoms (fractional coordinates):
1 Tm 0.0000 0.6484 0.0000
2 Tm 0.3516 0.3516 0.0000
3 Tm 0.6484 0.0000 0.0000
4 Cu 0.0000 0.2224 0.5000
5 Cu 0.2224 0.0000 0.5000
6 Cu 0.7776 0.7776 0.5000
7 Ag 0.3333 0.6667 0.5000
8 Ag 0.6667 0.3333 0.5000

Most intense lines, 10 to 90 degrees two-theta, low angle first:
2θ/deg  I/Imax
25.8  22.9
34.6  100.0
37.8  9.7
39.9  12.8
45.5  24.1
46.2  13.3
58.4  11.7
66.9  15.9
73.0  9.6
76.9  18.5

***

The following is a theoretical powder X-ray diffraction pattern of YCuAg2. It was derived from a structure optimized by DFT (GGA-PBE), using Cu Kα (λ = 1.5418 Å).

Crystal structure
a b c (Å): 6.8050 6.8050 6.8050
angles (deg): 90.00 90.00 90.00
Atoms (fractional coordinates):
1 Y 0.0000 0.0000 0.0000
2 Y 0.0000 0.5000 0.5000
3 Y 0.5000 0.0000 0.5000
4 Y 0.5000 0.5000 0.0000
5 Cu 0.0000 0.0000 0.5000
6 Cu 0.0000 0.5000 0.0000
7 Cu 0.5000 0.0000 0.0000
8 Cu 0.5000 0.5000 0.5000
9 Ag 0.2500 0.2500 0.2500
10 Ag 0.2500 0.2500 0.7500
11 Ag 0.2500 0.7500 0.2500
12 Ag 0.2500 0.7500 0.7500
13 Ag 0.7500 0.2500 0.2500
14 Ag 0.7500 0.2500 0.7500
15 Ag 0.7500 0.7500 0.2500
16 Ag 0.7500 0.7500 0.7500

Most intense lines, 10 to 90 degrees two-theta, low angle first:
2θ/deg  I/Imax
22.6  0.8
26.2  3.6
37.4  100.0
46.2  1.0
53.9  16.5
60.9  1.3
67.4  32.5
79.7  10.0
85.6  0.7

***

The following is a theoretical powder X-ray diffraction pattern of Y8CuAg2. It was derived from a structure optimized by DFT (GGA-PBE), using Cu Kα (λ = 1.5418 Å).

Crystal structure
a b c (Å): 9.1250 9.1250 5.9735
angles (deg): 101.80 101.80 132.89
Atoms (fractional coordinates):
1 Y 0.0000 0.0000 0.0000
2 Y 0.1226 0.8925 0.4830
3 Y 0.3273 0.5614 0.1355
4 Y 0.4594 0.4594 0.6640
5 Y 0.5285 0.9198 0.8028
6 Y 0.5614 0.3273 0.1355
7 Y 0.8925 0.1226 0.4830
8 Y 0.9198 0.5285 0.8028
9 Cu 0.7192 0.7192 0.4643
10 Ag 0.4521 0.9925 0.3023
11 Ag 0.9925 0.4521 0.3023

Most intense lines, 10 to 90 degrees two-theta, low angle first:
2θ/deg  I/Imax
30.5  59.3
30.6  42.0
31.1  100.0
31.8  26.7
31.9  87.7
32.7  68.9
35.8  31.2
36.6  53.3
40.7  28.1
56.8  30.9

***

The following is a theoretical powder X-ray diffraction pattern of Y2Cu2Ag. It was derived from a structure optimized by DFT (GGA-PBE), using Cu Kα (λ = 1.5418 Å).

Crystal structure
a b c (Å): 3.9709 14.2687 3.6837
angles (deg): 90.00 90.00 90.00
Atoms (fractional coordinates):
1 Y 0.0000 0.1269 0.0000
2 Y 0.0000 0.8731 0.0000
3 Y 0.5000 0.3731 0.0000
4 Y 0.5000 0.6269 0.0000
5 Cu 0.0000 0.2998 0.5000
6 Cu 0.0000 0.7002 0.5000
7 Cu 0.5000 0.2002 0.5000
8 Cu 0.5000 0.7998 0.5000
9 Ag 0.0000 0.5000 0.5000
10 Ag 0.5000 0.0000 0.5000

Most intense lines, 10 to 90 degrees two-theta, low angle first:
2θ/deg  I/Imax
29.3  16.4
33.8  100.0
35.0  64.8
38.3  15.3
38.9  58.7
45.7  24.6
49.5  19.2
58.8  27.2
64.6  24.2
69.6  13.1